No. 1
Computed XRD peak list of TbThPb2 for copper Kα, from a DFT-relaxed cell (GGA-PBE, Alexandria).
Lines closer than 0.1° are merged.

Crystal structure
```
4
Lattice="4.6134 0.0000 0.0000 0.0000 2.2547 5.9457 0.0000 -2.2547 5.9457" Properties=species:S:1:pos:R:3 pbc="T T T"
Tb 0.0000 0.0000 0.0000
Th 2.3067 0.0000 3.1009
Pb 0.0000 0.0000 8.7117
Pb 2.3067 0.0000 6.3055
```

Main lines, sorted by position (10 to 90 degrees two-theta):
- 2θ 28.68, intensity 100
- 2θ 30.06, intensity 46
- 2θ 35.90, intensity 90
- 2θ 39.05, intensity 25
- 2θ 39.99, intensity 24
- 2θ 50.05, intensity 24
- 2θ 50.82, intensity 20
- 2θ 57.13, intensity 17
- 2θ 61.72, intensity 17
- 2θ 65.87, intensity 28

---

No. 2
Computed XRD peak list of NiOsW for copper Kα, from a DFT-relaxed cell (GGA-PBE, Alexandria).
Lines closer than 0.1° are merged.

Crystal structure
```
6
Lattice="1.3852 -6.9023 0.0000 1.3852 6.9023 0.0000 0.0000 0.0000 4.3255" Properties=species:S:1:pos:R:3 pbc="T T T"
Ni 1.3852 6.1637 3.2442
Ni 1.3852 -6.1637 1.0814
Os 1.3852 3.0347 1.0814
Os 1.3852 -3.0347 3.2442
W 1.3852 1.4532 3.2442
W 1.3852 -1.4532 1.0814
```

Main lines, sorted by position (10 to 90 degrees two-theta):
- 2θ 12.83, intensity 20
- 2θ 33.21, intensity 17
- 2θ 37.91, intensity 22
- 2θ 39.16, intensity 15
- 2θ 41.76, intensity 37
- 2θ 43.49, intensity 100
- 2θ 44.61, intensity 42
- 2θ 70.13, intensity 15
- 2θ 77.45, intensity 22
- 2θ 85.08, intensity 18

---

No. 3
Computed XRD peak list of KBaI3 for copper Kα, from a DFT-relaxed cell (GGA-PBE, Alexandria).
Lines closer than 0.1° are merged.

Crystal structure
```
10
Lattice="8.4426 0.0000 0.0000 0.0000 5.6340 0.0000 -0.4842 0.0000 12.5878" Properties=species:S:1:pos:R:3 pbc="T T T"
K 0.9488 1.4085 1.7806
K 7.0096 4.2255 10.8072
Ba 1.9550 1.4085 7.5860
Ba 6.0034 4.2255 5.0018
I -0.0933 4.2255 7.6858
I 0.7714 1.4085 10.9282
I 3.7981 1.4085 4.4610
I 4.1603 4.2255 8.1268
I 7.1870 4.2255 1.6596
I 8.0517 1.4085 4.9021
```

Main lines, sorted by position (10 to 90 degrees two-theta):
- 2θ 12.85, intensity 50
- 2θ 18.94, intensity 83
- 2θ 21.17, intensity 42
- 2θ 23.31, intensity 39
- 2θ 27.56, intensity 100
- 2θ 28.36, intensity 56
- 2θ 29.64, intensity 37
- 2θ 30.42, intensity 45
- 2θ 31.77, intensity 52
- 2θ 33.55, intensity 72

---

No. 4
Computed XRD peak list of Li3Y for copper Kα, from a DFT-relaxed cell (GGA-PBE, Alexandria).
Lines closer than 0.1° are merged.

Crystal structure
```
4
Lattice="1.6635 0.9604 10.2351 -1.6635 0.9604 10.2351 0.0000 -1.9209 10.2351" Properties=species:S:1:pos:R:3 pbc="T T T"
Li 0.0000 0.0000 0.0000
Li 0.0000 0.0000 7.8900
Li 0.0000 0.0000 22.8152
Y 0.0000 0.0000 15.3526
```

Main lines, sorted by position (10 to 90 degrees two-theta):
- 2θ 17.33, intensity 100
- 2θ 26.12, intensity 40
- 2θ 31.18, intensity 70
- 2θ 31.59, intensity 67
- 2θ 33.21, intensity 89
- 2θ 34.38, intensity 55
- 2θ 35.07, intensity 25
- 2θ 37.34, intensity 39
- 2θ 39.09, intensity 56
- 2θ 43.05, intensity 28

---

No. 5
Computed XRD peak list of Tl2SnCl5F for copper Kα, from a DFT-relaxed cell (GGA-PBE, Alexandria).
Lines closer than 0.1° are merged.

Crystal structure
```
9
Lattice="-3.5981 3.5981 5.0235 3.5981 -3.5981 5.0235 3.5981 3.5981 -5.0235" Properties=species:S:1:pos:R:3 pbc="T T T"
Tl 3.5981 0.0000 0.0000
Tl 0.0000 3.5981 0.0000
Sn 0.0000 0.0000 2.4023
Cl 1.7459 1.7459 2.3764
Cl 1.8522 -1.8522 7.3999
Cl 0.0000 0.0000 4.8544
Cl -1.8522 1.8522 7.3999
Cl 1.8522 1.8522 7.3999
F 0.0000 0.0000 0.3981
```

Main lines, sorted by position (10 to 90 degrees two-theta):
- 2θ 15.14, intensity 28
- 2θ 17.43, intensity 25
- 2θ 24.74, intensity 43
- 2θ 24.91, intensity 100
- 2θ 30.56, intensity 63
- 2θ 35.28, intensity 49
- 2θ 35.75, intensity 22
- 2θ 43.67, intensity 47
- 2θ 51.10, intensity 32
- 2θ 57.30, intensity 21

---

No. 6
Computed XRD peak list of Dy2H2Pt3 for copper Kα, from a DFT-relaxed cell (GGA-PBE, Alexandria).
Lines closer than 0.1° are merged.

Crystal structure
```
7
Lattice="4.5237 0.0000 0.0000 0.0000 3.6186 0.0000 -0.4250 0.0000 6.9816" Properties=species:S:1:pos:R:3 pbc="T T T"
Dy 0.9064 0.0000 1.9436
Dy 3.1923 0.0000 5.0380
H 0.3034 1.8093 6.0170
H 3.7954 1.8093 0.9646
Pt 0.9325 1.8093 4.3535
Pt 2.2619 1.8093 0.0000
Pt 3.1662 1.8093 2.6281
```

Main lines, sorted by position (10 to 90 degrees two-theta):
- 2θ 33.38, intensity 24
- 2θ 33.79, intensity 100
- 2θ 34.72, intensity 31
- 2θ 35.74, intensity 39
- 2θ 38.69, intensity 24
- 2θ 41.27, intensity 23
- 2θ 41.91, intensity 42
- 2θ 42.61, intensity 27
- 2θ 50.44, intensity 24
- 2θ 69.74, intensity 19

---

No. 7
Computed XRD peak list of Sm3UHg3Te8 for copper Kα, from a DFT-relaxed cell (GGA-PBE, Alexandria).
Lines closer than 0.1° are merged.

Crystal structure
```
15
Lattice="7.6321 -4.4069 0.0000 7.6321 4.4069 0.0000 -5.1029 0.0000 8.2030" Properties=species:S:1:pos:R:3 pbc="T T T"
Sm 0.0000 0.0000 0.0000
Sm 3.8160 2.2035 0.0000
Sm 3.8160 -2.2035 0.0000
U 7.6321 0.0000 0.0000
Hg 1.2646 2.2035 4.1015
Hg 1.2646 -2.2035 4.1015
Hg 5.0806 0.0000 4.1015
Te 2.5441 0.0000 1.8240
Te 6.4226 2.0953 1.7704
Te 0.1093 0.0000 6.4327
Te 3.7386 2.0953 6.4327
Te 6.4226 -2.0953 1.7704
Te 10.0519 0.0000 1.7704
Te 3.7386 -2.0953 6.4327
Te 7.6172 0.0000 6.3790
```

Main lines, sorted by position (10 to 90 degrees two-theta):
- 2θ 12.14, intensity 14
- 2θ 27.50, intensity 100
- 2θ 37.55, intensity 40
- 2θ 40.96, intensity 35
- 2θ 44.16, intensity 7
- 2θ 50.05, intensity 19
- 2θ 56.78, intensity 12
- 2θ 61.77, intensity 11
- 2θ 66.59, intensity 16
- 2θ 72.36, intensity 11

---

No. 8
Computed XRD peak list of CaCoRe for copper Kα, from a DFT-relaxed cell (GGA-PBE, Alexandria).
Lines closer than 0.1° are merged.

Crystal structure
```
6
Lattice="-2.1553 3.5431 3.5647 2.1553 -3.5431 3.5647 2.1553 3.5431 -3.5647" Properties=species:S:1:pos:R:3 pbc="T T T"
Ca 1.0776 1.2298 0.0000
Ca 1.0776 2.3133 3.5647
Co 1.0776 -0.6845 4.7462
Co 1.0776 4.2277 1.1815
Re 1.0776 -0.6681 2.4039
Re 1.0776 4.2112 -1.1608
```

Main lines, sorted by position (10 to 90 degrees two-theta):
- 2θ 17.65, intensity 84
- 2θ 24.17, intensity 28
- 2θ 24.98, intensity 22
- 2θ 35.09, intensity 100
- 2θ 40.02, intensity 37
- 2θ 41.92, intensity 27
- 2θ 43.70, intensity 35
- 2θ 50.89, intensity 29
- 2θ 50.99, intensity 17
- 2θ 59.34, intensity 23

---

No. 9
Computed XRD peak list of MgCdSeS for copper Kα, from a DFT-relaxed cell (GGA-PBE, Alexandria).
Lines closer than 0.1° are merged.

Crystal structure
```
4
Lattice="2.1009 1.2129 6.8895 -2.1009 1.2129 6.8895 0.0000 -2.4259 6.8895" Properties=species:S:1:pos:R:3 pbc="T T T"
Mg 0.0000 0.0000 0.0000
Cd 0.0000 0.0000 10.1366
Se 0.0000 0.0000 18.0696
S 0.0000 0.0000 7.5676
```

Main lines, sorted by position (10 to 90 degrees two-theta):
- 2θ 12.85, intensity 51
- 2θ 25.94, intensity 100
- 2θ 32.79, intensity 24
- 2θ 42.93, intensity 35
- 2θ 43.06, intensity 37
- 2θ 45.12, intensity 14
- 2θ 50.80, intensity 14
- 2θ 50.93, intensity 30
- 2θ 62.43, intensity 11
- 2θ 78.87, intensity 17